# 1
Li3Mn4B4O12: computed X-ray diffraction stick pattern (Cu Kα X-rays), based on a DFT-relaxed cell (PBE+U, the Materials Project).
Lines closer than 0.1° are merged.

The 8 most intense peaks (2θ from 5° to 70°), sorted by position:
20.27°, intensity 75; 20.74°, intensity 21; 21.96°, intensity 37; 22.67°, intensity 58; 33.87°, intensity 23; 34.09°, intensity 100; 39.79°, intensity 21; 40.57°, intensity 29

Structural model:
Unit cell a=7.854 b=8.288 c=9.197 alpha=66.85 beta=66.13 gamma=80.26
Element x y z (fractional)
Li  0.000  0.000  0.000
Li  0.005  0.341  0.209
Li  0.251  0.755  0.498
Li  0.275  0.097  0.696
Li  0.521  0.850  0.201
Li  0.751  0.594  0.710
Mn  0.057  0.380  0.846
Mn  0.219  0.710  0.855
Mn  0.312  0.136  0.343
Mn  0.473  0.467  0.333
Mn  0.566  0.873  0.860
Mn  0.703  0.229  0.835
Mn  0.816  0.621  0.354
Mn  0.949  0.974  0.357
B  0.064  0.379  0.511
B  0.221  0.743  0.178
B  0.298  0.119  0.017
B  0.463  0.495  0.665
B  0.556  0.872  0.519
B  0.716  0.227  0.170
B  0.811  0.624  0.015
B  0.966  0.966  0.689
O  0.008  0.424  0.377
O  0.036  0.806  0.204
O  0.048  0.937  0.803
O  0.066  0.947  0.533
O  0.198  0.150  0.168
O  0.228  0.158  0.894
O  0.238  0.294  0.499
O  0.282  0.567  0.695
O  0.294  0.698  0.299
O  0.330  0.740  0.014
O  0.462  0.904  0.670
O  0.475  0.036  0.998
O  0.480  0.910  0.399
O  0.537  0.446  0.785
O  0.541  0.307  0.194
O  0.564  0.489  0.502
O  0.705  0.658  0.163
O  0.730  0.785  0.499
O  0.750  0.673  0.882
O  0.780  0.031  0.724
O  0.793  0.191  0.288
O  0.814  0.192  0.019
O  0.952  0.410  0.659
O  0.981  0.535  0.003


# 2
Mg3As4W3O16: computed X-ray diffraction stick pattern (Cu Kα X-rays), based on a DFT-relaxed cell (PBE+U, the Materials Project).
Lines closer than 0.1° are merged.

The 8 most intense peaks (2θ from 5° to 70°), sorted by position:
11.58°, intensity 41; 12.61°, intensity 73; 19.74°, intensity 42; 20.00°, intensity 49; 23.76°, intensity 100; 24.23°, intensity 39; 27.09°, intensity 33; 33.47°, intensity 34

Structural model:
Unit cell a=10.141 b=5.564 c=15.891 alpha=90.00 beta=105.86 gamma=90.00
Element x y z (fractional)
Mg  0.000  0.000  0.000
Mg  0.000  0.500  0.500
Mg  0.294  0.123  0.281
Mg  0.294  0.377  0.781
Mg  0.706  0.623  0.219
Mg  0.706  0.877  0.719
As  0.108  0.519  0.154
As  0.108  0.981  0.654
As  0.344  0.170  0.078
As  0.344  0.330  0.578
As  0.656  0.670  0.422
As  0.656  0.830  0.922
As  0.892  0.019  0.346
As  0.892  0.481  0.846
W  0.195  0.622  0.385
W  0.195  0.878  0.885
W  0.500  0.000  0.500
W  0.500  0.500  0.000
W  0.805  0.122  0.115
W  0.805  0.378  0.615
O  0.022  0.712  0.395
O  0.022  0.788  0.895
O  0.111  0.703  0.071
O  0.111  0.797  0.571
O  0.179  0.154  0.823
O  0.179  0.346  0.323
O  0.190  0.111  0.993
O  0.190  0.389  0.493
O  0.203  0.680  0.794
O  0.203  0.820  0.294
O  0.266  0.196  0.663
O  0.266  0.304  0.163
O  0.362  0.719  0.461
O  0.362  0.781  0.961
O  0.448  0.118  0.385
O  0.448  0.382  0.885
O  0.552  0.618  0.115
O  0.552  0.882  0.615
O  0.638  0.219  0.039
O  0.638  0.281  0.539
O  0.734  0.696  0.837
O  0.734  0.804  0.337
O  0.797  0.180  0.706
O  0.797  0.320  0.206
O  0.810  0.611  0.507
O  0.810  0.889  0.007
O  0.821  0.654  0.677
O  0.821  0.846  0.177
O  0.889  0.203  0.429
O  0.889  0.297  0.929
O  0.978  0.212  0.105
O  0.978  0.288  0.605